# Na5B8C2
Calculated powder diffractogram, Cu Ka. Input: the GGA-PBE geometry in Alexandria.

Most intense lines, 2θ = 10–90°, by angle:
hkl 5 1 0, 2θ 35.18, I 20
hkl 0 2 0, 2θ 35.62, I 9
hkl 5 1 2, 2θ 41.08, I 100
hkl 0 2 2, 2θ 41.47, I 51
hkl 0 0 4, 2θ 41.77, I 37
hkl 5 1 4, 2θ 55.73, I 11
hkl 5 3 0, 2θ 63.69, I 17
hkl 5 1 6, 2θ 75.79, I 13
hkl 10 2 2, 2θ 78.11, I 12
hkl 5 3 4, 2θ 79.12, I 22

Cell and atoms:
```
data_Na5B8C2
_chemical_formula_sum 'Na20 B32 C8'
_cell_length_a 14.790
_cell_length_b 5.041
_cell_length_c 8.649
_cell_angle_alpha 90.00
_cell_angle_beta 90.00
_cell_angle_gamma 90.00
_space_group_name_H-M_alt 'C m c m'
_space_group_IT_number 63
_space_group_name_Hall '-C 2c 2'
loop_
_atom_site_label
_atom_site_type_symbol
_atom_site_fract_x
_atom_site_fract_y
_atom_site_fract_z
Na1 Na 0.000 0.000 0.000
Na2 Na 0.100 0.500 0.000
Na3 Na 0.200 0.000 0.000
B1 B 0.000 0.321 0.250
B2 B 0.000 0.327 0.750
B3 B 0.101 0.168 0.750
B4 B 0.108 0.181 0.250
B5 B 0.206 0.339 0.750
C1 C 0.202 0.338 0.250
```